Dy2Ge3Ir5: calculated X-ray diffraction stick pattern (Cu Kα (λ = 1.5418 Å)), based on a PBE-relaxed structure.

Crystal structure
```
data_Dy2Ge3Ir5
_chemical_formula_sum 'Dy8 Ge12 Ir20'
_cell_length_a 4.165
_cell_length_b 24.295
_cell_length_c 6.768
_cell_angle_alpha 90.00
_cell_angle_beta 90.00
_cell_angle_gamma 90.00
_symmetry_space_group_name_H-M 'C m c 21'
_symmetry_Int_Tables_number 36
loop_
_symmetry_equiv_pos_as_xyz
'x,y,z'
'-x,-y,z+1/2'
'-x,y,z'
'x,-y,z+1/2'
'x+1/2,y+1/2,z'
'-x+1/2,-y+1/2,z+1/2'
'-x+1/2,y+1/2,z'
'x+1/2,-y+1/2,z+1/2'
loop_
_atom_site_label
_atom_site_type_symbol
_atom_site_fract_x
_atom_site_fract_y
_atom_site_fract_z
_atom_site_occupancy
Dy1 Dy 0.000 0.022 0.000 1
Dy2 Dy 0.000 0.325 0.015 1
Ge1 Ge 0.000 0.111 0.731 1
Ge2 Ge 0.000 0.266 0.526 1
Ge3 Ge 0.000 0.455 0.794 1
Ir1 Ir 0.000 0.100 0.344 1
Ir2 Ir 0.000 0.207 0.230 1
Ir3 Ir 0.000 0.208 0.828 1
Ir4 Ir 0.000 0.368 0.552 1
Ir5 Ir 0.000 0.443 0.165 1
```

Main lines, most intense first (2θ = 15–90°):
hkl, 2theta, I_rel
1 3 2, 35.95, 100
1 7 1, 36.21, 61
2 0 0, 43.46, 49
1 9 0, 39.81, 42
0 4 3, 42.76, 28
1 13 3, 69.05, 27
1 1 2, 34.34, 23
0 10 1, 39.40, 23